[1]
Calculated powder XRD pattern of PaMoPN for Cu Kα (λ = 1.5418 Å), from a structure optimized by DFT (GGA-PBE).

Peak list (8 most intense, 2θ = 5–70°, low angle first)
25.18°, rel. 62
31.18°, rel. 100
31.61°, rel. 27
34.27°, rel. 60
39.02°, rel. 30
46.71°, rel. 37
54.61°, rel. 35
57.23°, rel. 37

Cell: 3.8894 3.8894 8.4925 Å, 90.00 90.00 90.00°
Atoms (fractional coordinates):
Pa (0.2500, 0.2500, 0.1427)
Pa (0.7500, 0.7500, 0.8573)
Mo (0.2500, 0.7500, 0.5000)
Mo (0.7500, 0.2500, 0.5000)
P (0.2500, 0.2500, 0.6824)
P (0.7500, 0.7500, 0.3176)
N (0.2500, 0.7500, 0.0000)
N (0.7500, 0.2500, 0.0000)

=====

[2]
Calculated powder XRD pattern of Pa3MoN7 for Cu Kα (λ = 1.5418 Å), from a structure optimized by DFT (GGA-PBE).

Peak list (8 most intense, 2θ = 5–70°, low angle first)
28.83°, rel. 98
29.14°, rel. 100
33.59°, rel. 77
48.24°, rel. 51
48.63°, rel. 15
56.99°, rel. 21
57.36°, rel. 12
57.52°, rel. 28

Cell: 6.5518 6.5518 7.4886 Å, 90.00 90.00 109.03°
Atoms (fractional coordinates):
Pa (0.0303, 0.0303, 0.0000)
Pa (0.0362, 0.4999, 0.2585)
Pa (0.4999, 0.0362, 0.7415)
Pa (0.5001, 0.9638, 0.2415)
Pa (0.9638, 0.5001, 0.7585)
Pa (0.9697, 0.9697, 0.5000)
Mo (0.4693, 0.4693, 0.5000)
Mo (0.5307, 0.5307, 0.0000)
N (0.1262, 0.8738, 0.7500)
N (0.1393, 0.8607, 0.2500)
N (0.1415, 0.4001, 0.9853)
N (0.1800, 0.4284, 0.5433)
N (0.4001, 0.1415, 0.0147)
N (0.4284, 0.1800, 0.4567)
N (0.4292, 0.5708, 0.2500)
N (0.5708, 0.4292, 0.7500)
N (0.5716, 0.8200, 0.9567)
N (0.5999, 0.8585, 0.5147)
N (0.8200, 0.5716, 0.0433)
N (0.8585, 0.5999, 0.4853)
N (0.8607, 0.1393, 0.7500)
N (0.8738, 0.1262, 0.2500)

=====

[3]
Calculated powder XRD pattern of PaMo2N4 for Cu Kα (λ = 1.5418 Å), from a structure optimized by DFT (GGA-PBE).

Peak list (8 most intense, 2θ = 5–70°, low angle first)
25.53°, rel. 40
31.49°, rel. 100
31.74°, rel. 38
41.49°, rel. 33
48.90°, rel. 38
49.07°, rel. 28
52.46°, rel. 20
66.30°, rel. 19

Cell: 6.0123 6.0123 6.0123 Å, 109.06 109.06 110.29°
Atoms (fractional coordinates):
Pa (0.3750, 0.6250, 0.7500)
Pa (0.6250, 0.3750, 0.2500)
Mo (0.0000, 0.0000, 0.0000)
Mo (0.0000, 0.0000, 0.5000)
Mo (0.0000, 0.5000, 0.0000)
Mo (0.5000, 0.0000, 0.5000)
N (0.1312, 0.6995, 0.4317)
N (0.2323, 0.3005, 0.9317)
N (0.3005, 0.2323, 0.4317)
N (0.3005, 0.8688, 0.0683)
N (0.6995, 0.1312, 0.9317)
N (0.6995, 0.7677, 0.5683)
N (0.7677, 0.6995, 0.0683)
N (0.8688, 0.3005, 0.5683)

=====

[4]
Calculated powder XRD pattern of PrMoN3 for Cu Kα (λ = 1.5418 Å), from a structure optimized by DFT (GGA-PBE).

Peak list (8 most intense, 2θ = 5–70°, low angle first)
25.89°, rel. 100
27.26°, rel. 21
29.77°, rel. 49
30.68°, rel. 23
31.79°, rel. 51
37.68°, rel. 18
46.73°, rel. 22
49.78°, rel. 15

Cell: 7.4090 7.4090 6.3489 Å, 104.01 104.01 84.20°
Atoms (fractional coordinates):
Pr (0.0910, 0.9090, 0.7500)
Pr (0.3137, 0.6863, 0.2500)
Pr (0.6863, 0.3137, 0.7500)
Pr (0.9090, 0.0910, 0.2500)
Mo (0.2002, 0.3802, 0.7538)
Mo (0.3802, 0.2002, 0.2538)
Mo (0.6198, 0.7998, 0.7462)
Mo (0.7998, 0.6198, 0.2462)
N (0.0007, 0.2263, 0.6547)
N (0.1185, 0.6128, 0.8527)
N (0.2263, 0.0007, 0.1547)
N (0.3358, 0.3691, 0.5191)
N (0.3691, 0.3358, 0.0191)
N (0.3872, 0.8815, 0.6473)
N (0.6128, 0.1185, 0.3527)
N (0.6309, 0.6642, 0.9809)
N (0.6642, 0.6309, 0.4809)
N (0.7737, 0.9993, 0.8453)
N (0.8815, 0.3872, 0.1473)
N (0.9993, 0.7737, 0.3453)

=====

[5]
Calculated powder XRD pattern of Pr3MoN4 for Cu Kα (λ = 1.5418 Å), from a structure optimized by DFT (GGA-PBE).

Peak list (8 most intense, 2θ = 5–70°, low angle first)
25.97°, rel. 49
30.52°, rel. 63
30.96°, rel. 100
33.51°, rel. 40
42.87°, rel. 23
45.17°, rel. 34
56.31°, rel. 23
57.39°, rel. 30

Cell: 7.8733 7.0012 5.3489 Å, 90.00 90.00 90.00°
Atoms (fractional coordinates):
Pr (0.0000, 0.1471, 0.0000)
Pr (0.2418, 0.3398, 0.5068)
Pr (0.2582, 0.6602, 0.0068)
Pr (0.5000, 0.8529, 0.5000)
Pr (0.7418, 0.6602, 0.0068)
Pr (0.7582, 0.3398, 0.5068)
Mo (0.0000, 0.8266, 0.4420)
Mo (0.5000, 0.1734, 0.9420)
N (0.0000, 0.1079, 0.4876)
N (0.0000, 0.8196, 0.0804)
N (0.2156, 0.6997, 0.4996)
N (0.2844, 0.3003, 0.9996)
N (0.5000, 0.1804, 0.5804)
N (0.5000, 0.8921, 0.9876)
N (0.7156, 0.3003, 0.9996)
N (0.7844, 0.6997, 0.4996)

=====

[6]
Calculated powder XRD pattern of Pr2TiMoN5 for Cu Kα (λ = 1.5418 Å), from a structure optimized by DFT (GGA-PBE).

Peak list (8 most intense, 2θ = 5–70°, low angle first)
27.15°, rel. 35
28.70°, rel. 100
31.02°, rel. 48
32.17°, rel. 77
32.82°, rel. 58
33.95°, rel. 37
37.62°, rel. 66
49.99°, rel. 34

Cell: 7.1199 7.1199 10.4473 Å, 90.00 90.00 152.49°
Atoms (fractional coordinates):
Pr (0.1144, 0.8856, 0.5000)
Pr (0.1443, 0.8557, 0.1258)
Pr (0.8557, 0.1443, 0.6258)
Pr (0.8856, 0.1144, 0.0000)
Ti (0.2192, 0.7808, 0.8426)
Ti (0.7808, 0.2192, 0.3426)
Mo (0.4535, 0.5465, 0.2720)
Mo (0.5465, 0.4535, 0.7720)
N (0.0490, 0.9510, 0.8625)
N (0.2864, 0.7136, 0.4702)
N (0.3199, 0.6801, 0.2079)
N (0.3552, 0.6448, 0.8247)
N (0.4944, 0.5056, 0.6093)
N (0.5056, 0.4944, 0.1093)
N (0.6448, 0.3552, 0.3247)
N (0.6801, 0.3199, 0.7079)
N (0.7136, 0.2864, 0.9702)
N (0.9510, 0.0490, 0.3625)

=====

[7]
Calculated powder XRD pattern of Mo3Pt2N for Cu Kα (λ = 1.5418 Å), from a structure optimized by DFT (GGA-PBE).

Peak list (8 most intense, 2θ = 5–70°, low angle first)
18.17°, rel. 16
22.31°, rel. 18
36.83°, rel. 14
39.15°, rel. 100
41.36°, rel. 51
43.48°, rel. 39
49.40°, rel. 23
69.42°, rel. 37

Cell: 6.9033 6.9033 6.9033 Å, 90.00 90.00 90.00°
Atoms (fractional coordinates):
Mo (0.0500, 0.1250, 0.8000)
Mo (0.1250, 0.8000, 0.0500)
Mo (0.2000, 0.5500, 0.3750)
Mo (0.3000, 0.4500, 0.8750)
Mo (0.3750, 0.2000, 0.5500)
Mo (0.4500, 0.8750, 0.3000)
Mo (0.5500, 0.3750, 0.2000)
Mo (0.6250, 0.7000, 0.9500)
Mo (0.7000, 0.9500, 0.6250)
Mo (0.8000, 0.0500, 0.1250)
Mo (0.8750, 0.3000, 0.4500)
Mo (0.9500, 0.6250, 0.7000)
Pt (0.0565, 0.9435, 0.4435)
Pt (0.1935, 0.1935, 0.1935)
Pt (0.3065, 0.8065, 0.6935)
Pt (0.4435, 0.0565, 0.9435)
Pt (0.5565, 0.5565, 0.5565)
Pt (0.6935, 0.3065, 0.8065)
Pt (0.8065, 0.6935, 0.3065)
Pt (0.9435, 0.4435, 0.0565)
N (0.1250, 0.3750, 0.6250)
N (0.3750, 0.6250, 0.1250)
N (0.6250, 0.1250, 0.3750)
N (0.8750, 0.8750, 0.8750)

=====

[8]
Calculated powder XRD pattern of SmPuMoN3 for Cu Kα (λ = 1.5418 Å), from a structure optimized by DFT (GGA-PBE).

Peak list (8 most intense, 2θ = 5–70°, low angle first)
11.42°, rel. 40
15.73°, rel. 59
28.35°, rel. 39
29.15°, rel. 51
31.76°, rel. 56
34.73°, rel. 41
35.51°, rel. 74
36.59°, rel. 100

Cell: 7.3074 3.3355 7.8028 Å, 90.00 96.70 90.00°
Atoms (fractional coordinates):
Sm (0.1560, 0.2500, 0.1805)
Sm (0.8440, 0.7500, 0.8195)
Pu (0.3621, 0.7500, 0.8417)
Pu (0.6379, 0.2500, 0.1583)
Mo (0.1108, 0.2500, 0.5808)
Mo (0.8892, 0.7500, 0.4192)
N (0.1242, 0.2500, 0.8499)
N (0.1768, 0.7500, 0.4232)
N (0.4151, 0.7500, 0.1188)
N (0.5849, 0.2500, 0.8812)
N (0.8232, 0.2500, 0.5768)
N (0.8758, 0.7500, 0.1501)

=====

[9]
Calculated powder XRD pattern of Tb2PuMoN4 for Cu Kα (λ = 1.5418 Å), from a structure optimized by DFT (GGA-PBE).

Peak list (8 most intense, 2θ = 5–70°, low angle first)
26.88°, rel. 48
29.71°, rel. 44
30.27°, rel. 37
31.34°, rel. 100
35.85°, rel. 41
38.20°, rel. 48
49.49°, rel. 21
52.17°, rel. 26

Cell: 6.1408 6.1408 12.0286 Å, 90.00 90.00 148.13°
Atoms (fractional coordinates):
Tb (0.1295, 0.8705, 0.5393)
Tb (0.1295, 0.8705, 0.9607)
Tb (0.8705, 0.1295, 0.0393)
Tb (0.8705, 0.1295, 0.4607)
Pu (0.4077, 0.5923, 0.7500)
Pu (0.5923, 0.4077, 0.2500)
Mo (0.3324, 0.6676, 0.2500)
Mo (0.6676, 0.3324, 0.7500)
N (0.0553, 0.9447, 0.7500)
N (0.2339, 0.7661, 0.1242)
N (0.2339, 0.7661, 0.3758)
N (0.5000, 0.5000, 0.0000)
N (0.5000, 0.5000, 0.5000)
N (0.7661, 0.2339, 0.6242)
N (0.7661, 0.2339, 0.8758)
N (0.9447, 0.0553, 0.2500)

=====

[10]
Calculated powder XRD pattern of Pu2ThMoN4 for Cu Kα (λ = 1.5418 Å), from a structure optimized by DFT (GGA-PBE).

Peak list (8 most intense, 2θ = 5–70°, low angle first)
27.43°, rel. 82
29.90°, rel. 71
30.76°, rel. 30
31.60°, rel. 100
38.26°, rel. 86
48.16°, rel. 29
49.30°, rel. 27
62.10°, rel. 38

Cell: 6.2090 6.2090 11.6259 Å, 90.00 90.00 148.52°
Atoms (fractional coordinates):
Pu (0.1312, 0.8688, 0.5483)
Pu (0.1312, 0.8688, 0.9517)
Pu (0.8688, 0.1312, 0.0483)
Pu (0.8688, 0.1312, 0.4517)
Th (0.3828, 0.6172, 0.7500)
Th (0.6172, 0.3828, 0.2500)
Mo (0.3551, 0.6449, 0.2500)
Mo (0.6449, 0.3551, 0.7500)
N (0.0338, 0.9662, 0.7500)
N (0.2291, 0.7709, 0.1232)
N (0.2291, 0.7709, 0.3768)
N (0.5000, 0.5000, 0.0000)
N (0.5000, 0.5000, 0.5000)
N (0.7709, 0.2291, 0.6232)
N (0.7709, 0.2291, 0.8768)
N (0.9662, 0.0338, 0.2500)

=====

[11]
Calculated powder XRD pattern of ReMoN for Cu Kα (λ = 1.5418 Å), from a structure optimized by DFT (GGA-PBE).

Peak list (8 most intense, 2θ = 5–70°, low angle first)
18.41°, rel. 23
35.68°, rel. 16
36.92°, rel. 13
37.32°, rel. 39
39.48°, rel. 35
40.44°, rel. 100
62.73°, rel. 14
69.42°, rel. 18

Cell: 9.6378 2.8782 5.1828 Å, 90.00 90.00 90.00°
Atoms (fractional coordinates):
Re (0.0107, 0.2500, 0.2111)
Re (0.4893, 0.7500, 0.7111)
Re (0.5107, 0.2500, 0.2889)
Re (0.9893, 0.7500, 0.7889)
Mo (0.2458, 0.2500, 0.8982)
Mo (0.2542, 0.7500, 0.3982)
Mo (0.7458, 0.2500, 0.6018)
Mo (0.7542, 0.7500, 0.1018)
N (0.1161, 0.2500, 0.5853)
N (0.3839, 0.7500, 0.0853)
N (0.6161, 0.2500, 0.9147)
N (0.8839, 0.7500, 0.4147)

=====

[12]
Calculated powder XRD pattern of Sr2ReMoN5 for Cu Kα (λ = 1.5418 Å), from a structure optimized by DFT (GGA-PBE).

Peak list (8 most intense, 2θ = 5–70°, low angle first)
16.36°, rel. 48
25.38°, rel. 44
27.46°, rel. 88
32.07°, rel. 92
32.36°, rel. 45
33.43°, rel. 100
37.18°, rel. 53
37.30°, rel. 58

Cell: 7.6033 7.6033 10.8367 Å, 90.00 90.00 154.65°
Atoms (fractional coordinates):
Sr (0.1127, 0.8873, 0.5000)
Sr (0.1423, 0.8577, 0.1317)
Sr (0.8577, 0.1423, 0.6317)
Sr (0.8873, 0.1127, 0.0000)
Re (0.4447, 0.5553, 0.2687)
Re (0.5553, 0.4447, 0.7687)
Mo (0.2213, 0.7787, 0.8524)
Mo (0.7787, 0.2213, 0.3524)
N (0.0438, 0.9562, 0.8541)
N (0.2891, 0.7109, 0.4668)
N (0.3220, 0.6780, 0.2212)
N (0.3403, 0.6597, 0.8271)
N (0.4977, 0.5023, 0.6235)
N (0.5023, 0.4977, 0.1235)
N (0.6597, 0.3403, 0.3271)
N (0.6780, 0.3220, 0.7212)
N (0.7109, 0.2891, 0.9668)
N (0.9562, 0.0438, 0.3541)